No. 1
For La2Tb7Sm, DFT lattice parameters and positions (PBE) gives the theoretical powder diffraction line list in this record (a wavelength of 1.5418 Å).
No peak broadening, texture or thermal motion is included.

Atomic structure:
a b c (Å): 6.2311 7.1978 8.0896
angles (deg): 77.07 74.93 73.64
Fractional coordinates of all 10 atoms:
La  0.2011  0.2971  0.1021
La  0.7989  0.7029  0.8979
Tb  0.0000  0.0000  0.5000
Tb  0.1991  0.7999  0.1019
Tb  0.3986  0.1009  0.6968
Tb  0.3990  0.6011  0.6977
Tb  0.6010  0.3989  0.3023
Tb  0.6014  0.8991  0.3032
Tb  0.8009  0.2001  0.8981
Sm  0.0000  0.5000  0.5000

Top 10 peaks for 10° ≤ 2θ ≤ 80°, low angle first:
30.35°, d = 2.945 Å, I 1000; 35.09°, d = 2.558 Å, I 340; 35.40°, d = 2.536 Å, I 166; 50.47°, d = 1.808 Å, I 122; 50.70°, d = 1.801 Å, I 240; 60.04°, d = 1.541 Å, I 288; 60.45°, d = 1.531 Å, I 142; 63.15°, d = 1.472 Å, I 124; 74.15°, d = 1.279 Å, I 39; 74.90°, d = 1.268 Å, I 19


No. 2
For Ca3Be2As4, DFT lattice parameters and positions (PBE) gives the theoretical powder diffraction line list in this record (a wavelength of 1.5418 Å).
No peak broadening, texture or thermal motion is included.

Atomic structure:
a b c (Å): 6.4921 6.4921 8.6326
angles (deg): 115.30 115.30 35.09
Fractional coordinates of all 9 atoms:
Ca  0.0000  0.0000  0.0000
Ca  0.3779  0.3779  0.2964
Ca  0.6221  0.6221  0.7036
Be  0.3018  0.3018  0.6271
Be  0.6982  0.6982  0.3729
As  0.1024  0.1024  0.3968
As  0.3039  0.3039  0.9026
As  0.6961  0.6961  0.0974
As  0.8976  0.8976  0.6032

Top 10 peaks for 10° ≤ 2θ ≤ 80°, low angle first:
23.61°, d = 3.768 Å, I 177; 31.09°, d = 2.877 Å, I 537; 31.51°, d = 2.839 Å, I 1000; 33.38°, d = 2.685 Å, I 217; 36.11°, d = 2.488 Å, I 639; 39.85°, d = 2.262 Å, I 177; 45.10°, d = 2.010 Å, I 171; 46.39°, d = 1.957 Å, I 241; 47.15°, d = 1.928 Å, I 189; 56.90°, d = 1.618 Å, I 182


No. 3
For DyZn5Au6, DFT lattice parameters and positions (PBE) gives the theoretical powder diffraction line list in this record (a wavelength of 1.5418 Å).
No peak broadening, texture or thermal motion is included.

Atomic structure:
a b c (Å): 7.2925 7.2925 6.5821
angles (deg): 90.00 90.00 143.00
Fractional coordinates of all 12 atoms:
Dy  0.0000  0.0000  0.0000
Zn  0.0000  0.0000  0.5000
Zn  0.3384  0.6616  0.0000
Zn  0.3387  0.6613  0.5000
Zn  0.6613  0.3387  0.5000
Zn  0.6616  0.3384  0.0000
Au  0.1774  0.8226  0.2581
Au  0.1774  0.8226  0.7419
Au  0.5000  0.5000  0.2726
Au  0.5000  0.5000  0.7274
Au  0.8226  0.1774  0.2581
Au  0.8226  0.1774  0.7419

Top 10 peaks for 10° ≤ 2θ ≤ 80°, low angle first:
27.09°, d = 3.291 Å, I 76; 27.30°, d = 3.266 Å, I 151; 38.86°, d = 2.317 Å, I 1000; 39.08°, d = 2.305 Å, I 188; 55.87°, d = 1.646 Å, I 66; 56.34°, d = 1.633 Å, I 129; 70.18°, d = 1.341 Å, I 66; 70.28°, d = 1.339 Å, I 60; 70.44°, d = 1.337 Å, I 138; 70.64°, d = 1.333 Å, I 115


No. 4
For Mg5GaAg2, DFT lattice parameters and positions (PBE) gives the theoretical powder diffraction line list in this record (a wavelength of 1.5418 Å).
No peak broadening, texture or thermal motion is included.

Atomic structure:
a b c (Å): 5.9368 11.5008 4.5760
angles (deg): 90.00 90.00 90.00
Fractional coordinates of all 16 atoms:
Mg  0.0000  0.0000  0.0000
Mg  0.1149  0.2635  0.0000
Mg  0.1674  0.6098  0.5000
Mg  0.3326  0.1098  0.5000
Mg  0.3851  0.7635  0.0000
Mg  0.5000  0.5000  0.0000
Mg  0.6149  0.2365  0.0000
Mg  0.6674  0.8902  0.5000
Mg  0.8326  0.3902  0.5000
Mg  0.8851  0.7365  0.0000
Ga  0.0000  0.5000  0.0000
Ga  0.5000  0.0000  0.0000
Ag  0.1470  0.8630  0.5000
Ag  0.3530  0.3630  0.5000
Ag  0.6470  0.6370  0.5000
Ag  0.8530  0.1370  0.5000

Top 10 peaks for 10° ≤ 2θ ≤ 80°, low angle first:
19.40°, d = 4.576 Å, I 141; 21.51°, d = 4.130 Å, I 271; 25.77°, d = 3.457 Å, I 257; 27.70°, d = 3.221 Å, I 149; 29.12°, d = 3.066 Å, I 216; 31.11°, d = 2.874 Å, I 148; 36.07°, d = 2.490 Å, I 139; 36.93°, d = 2.434 Å, I 1000; 39.39°, d = 2.288 Å, I 310; 69.80°, d = 1.347 Å, I 142


No. 5
For Tl2Ga2Br7, DFT lattice parameters and positions (PBE) gives the theoretical powder diffraction line list in this record (a wavelength of 1.5418 Å).
No peak broadening, texture or thermal motion is included.

Atomic structure:
a b c (Å): 8.3983 8.3983 6.8214
angles (deg): 96.97 96.97 100.63
Fractional coordinates of all 11 atoms:
Tl  0.2054  0.7946  0.0000
Tl  0.7946  0.2054  0.0000
Ga  0.2757  0.2757  0.5777
Ga  0.7243  0.7243  0.4223
Br  0.0905  0.4000  0.7659
Br  0.1190  0.1190  0.2678
Br  0.4000  0.0905  0.7659
Br  0.5000  0.5000  0.5000
Br  0.6000  0.9095  0.2341
Br  0.8810  0.8810  0.7322
Br  0.9095  0.6000  0.2341

Top 10 peaks for 10° ≤ 2θ ≤ 80°, low angle first:
18.33°, d = 4.840 Å, I 386; 19.08°, d = 4.651 Å, I 1000; 19.36°, d = 4.584 Å, I 464; 26.83°, d = 3.323 Å, I 426; 27.22°, d = 3.276 Å, I 628; 28.75°, d = 3.105 Å, I 220; 31.98°, d = 2.799 Å, I 239; 34.07°, d = 2.632 Å, I 232; 36.25°, d = 2.478 Å, I 258; 36.92°, d = 2.435 Å, I 269


No. 6
For Na2CdHgRu, DFT lattice parameters and positions (PBE) gives the theoretical powder diffraction line list in this record (a wavelength of 1.5418 Å).
No peak broadening, texture or thermal motion is included.

Atomic structure:
a b c (Å): 5.6563 5.6563 5.2077
angles (deg): 90.00 90.00 90.00
Fractional coordinates of all 5 atoms:
Na  0.0000  0.5000  0.0000
Na  0.5000  0.0000  0.0000
Cd  0.0000  0.0000  0.5000
Hg  0.5000  0.5000  0.5000
Ru  0.0000  0.0000  0.0000

Top 10 peaks for 10° ≤ 2θ ≤ 80°, low angle first:
22.23°, d = 4.000 Å, I 1000; 23.22°, d = 3.831 Å, I 465; 28.13°, d = 3.172 Å, I 559; 31.64°, d = 2.828 Å, I 667; 34.44°, d = 2.604 Å, I 266; 39.61°, d = 2.275 Å, I 239; 41.38°, d = 2.182 Å, I 401; 45.35°, d = 2.000 Å, I 245; 47.46°, d = 1.916 Å, I 427; 63.05°, d = 1.474 Å, I 231